1.
Mn7Pd9: computed powder diffractogram (copper Kα), based on a DFT-relaxed cell (GGA-PBE, the Materials Project).
Peak positions follow from Bragg's law for the DFT cell and can differ from measured ones.

Cell and atoms:
```
data_Mn7Pd9
_chemical_formula_sum 'Mn14 Pd18'
_cell_length_a 7.527
_cell_length_b 7.527
_cell_length_c 7.637
_cell_angle_alpha 90.00
_cell_angle_beta 90.00
_cell_angle_gamma 90.00
_space_group_name_H-M_alt 'I 4/m m m'
_space_group_IT_number 139
_space_group_name_Hall '-I 4 2'
loop_
_atom_site_label
_atom_site_fract_x
_atom_site_fract_y
_atom_site_fract_z
Mn1 0.000 0.000 0.000
Mn2 0.000 0.500 0.000
Mn3 0.244 0.244 0.000
Pd1 0.000 0.000 0.500
Pd2 0.000 0.253 0.243
```

The 8 most intense peaks (2θ from 10° to 90°), most intense first:
Position (°2θ)  Rel. int.
41.4  100
48.4  31
85.5  23
70.2  19
47.6  16
84.4  11
89.9  10
70.8  9

---

2.
MnPd2: computed powder diffractogram (copper Kα), based on a DFT-relaxed cell (GGA-PBE, the Materials Project).
Peak positions follow from Bragg's law for the DFT cell and can differ from measured ones.

Cell and atoms:
```
data_MnPd2
_chemical_formula_sum 'Mn4 Pd8'
_cell_length_a 5.539
_cell_length_b 4.035
_cell_length_c 8.241
_cell_angle_alpha 90.00
_cell_angle_beta 90.00
_cell_angle_gamma 90.00
_space_group_name_H-M_alt 'P n m a'
_space_group_IT_number 62
loop_
_space_group_symop_operation_xyz
'x,y,z'
'-x,-y,-z'
'-x+1/2,-y,z+1/2'
'x+1/2,y,-z+1/2'
'x+1/2,-y+1/2,-z+1/2'
'-x+1/2,y+1/2,z+1/2'
'-x,y+1/2,-z'
'x,-y+1/2,z'
loop_
_atom_site_label
_atom_site_fract_x
_atom_site_fract_y
_atom_site_fract_z
Mn1 0.152 0.250 0.096
Pd1 0.091 0.250 0.765
Pd2 0.144 0.250 0.425
```

The 8 most intense peaks (2θ from 10° to 90°), most intense first:
Position (°2θ)  Rel. int.
39.7  100
39.5  95
46.6  55
44.9  37
66.7  36
81.8  19
81.4  14
79.3  12

---

3.
Mn2PdPt: computed powder diffractogram (copper Kα), based on a DFT-relaxed cell (GGA-PBE, the Materials Project).
Peak positions follow from Bragg's law for the DFT cell and can differ from measured ones.

Cell and atoms:
```
data_Mn2PdPt
_chemical_formula_sum 'Mn8 Pd4 Pt4'
_cell_length_a 6.249
_cell_length_b 6.249
_cell_length_c 6.249
_cell_angle_alpha 90.00
_cell_angle_beta 90.00
_cell_angle_gamma 90.00
_space_group_name_H-M_alt 'F m -3 m'
_space_group_IT_number 225
_space_group_name_Hall '-F 4 2 3'
loop_
_atom_site_label
_atom_site_fract_x
_atom_site_fract_y
_atom_site_fract_z
Mn1 0.250 0.250 0.250
Pd1 0.000 0.000 0.000
Pt1 0.000 0.000 0.500
```

The 8 most intense peaks (2θ from 10° to 90°), most intense first:
Position (°2θ)  Rel. int.
40.8  100
74.4  33
28.6  27
59.1  16
88.5  11
67.0  11
24.7  10
50.6  8

---

4.
MnSbPd: computed powder diffractogram (copper Kα), based on a DFT-relaxed cell (GGA-PBE, the Materials Project).
Peak positions follow from Bragg's law for the DFT cell and can differ from measured ones.

Cell and atoms:
```
data_MnSbPd
_chemical_formula_sum 'Mn4 Sb4 Pd4'
_cell_length_a 6.154
_cell_length_b 6.154
_cell_length_c 6.154
_cell_angle_alpha 90.00
_cell_angle_beta 90.00
_cell_angle_gamma 90.00
_space_group_name_H-M_alt 'F -4 3 m'
_space_group_IT_number 216
_space_group_name_Hall 'F -4 2 3'
loop_
_atom_site_label
_atom_site_fract_x
_atom_site_fract_y
_atom_site_fract_z
Mn1 0.000 0.000 0.000
Sb1 0.250 0.250 0.250
Pd1 0.250 0.250 0.750
```

The 8 most intense peaks (2θ from 10° to 90°), most intense first:
Position (°2θ)  Rel. int.
41.5  100
29.0  49
75.7  32
68.1  17
60.1  16
51.4  13
25.1  11
49.1  5

---

5.
Mn2SnSbPd4: computed powder diffractogram (copper Kα), based on a DFT-relaxed cell (GGA-PBE, the Materials Project).
Peak positions follow from Bragg's law for the DFT cell and can differ from measured ones.

Cell and atoms:
```
data_Mn2SnSbPd4
_chemical_formula_sum 'Mn6 Sn3 Sb3 Pd12'
_cell_length_a 4.5648
_cell_length_b 4.5648
_cell_length_c 22.2981
_cell_angle_alpha 90.00
_cell_angle_beta 90.00
_cell_angle_gamma 120.00
_space_group_name_H-M_alt 'R -3 m'
_space_group_IT_number 166
_space_group_name_Hall '-R 3 2"'
loop_
_atom_site_label
_atom_site_fract_x
_atom_site_fract_y
_atom_site_fract_z
Mn1 0.0000 0.0000 0.2495
Sn1 0.0000 0.0000 0.5000
Sb1 0.0000 0.0000 0.0000
Pd1 0.0000 0.0000 0.1250
Pd2 0.0000 0.0000 0.3753
```

The 8 most intense peaks (2θ from 10° to 90°), most intense first:
Position (°2θ)  Rel. int.
39.5  100
71.6  25
57.1  17
71.8  8
23.9  6
85.0  5
85.2  5
46.7  3

---

6.
MnSi2Pd3: computed powder diffractogram (copper Kα), based on a DFT-relaxed cell (GGA-PBE, the Materials Project).
Peak positions follow from Bragg's law for the DFT cell and can differ from measured ones.

Cell and atoms:
```
data_MnSi2Pd3
_chemical_formula_sum 'Mn3 Si6 Pd9'
_cell_length_a 6.532
_cell_length_b 3.505
_cell_length_c 11.306
_cell_angle_alpha 90.00
_cell_angle_beta 90.35
_cell_angle_gamma 90.00
_space_group_name_H-M_alt 'P 1 m 1'
_space_group_IT_number 6
loop_
_space_group_symop_operation_xyz
'x,y,z'
'x,-y,z'
loop_
_atom_site_label
_atom_site_fract_x
_atom_site_fract_y
_atom_site_fract_z
Mn1 0.000 0.000 0.000
Mn2 0.104 0.000 0.291
Mn3 0.609 0.000 0.805
Si1 0.201 0.000 0.799
Si2 0.207 0.500 0.127
Si3 0.209 0.500 0.472
Si4 0.695 0.000 0.298
Si5 0.703 0.500 0.969
Si6 0.712 0.500 0.628
Pd1 0.008 0.000 0.602
Pd2 0.333 0.500 0.927
Pd3 0.348 0.500 0.671
Pd4 0.427 0.500 0.301
Pd5 0.509 0.000 0.100
Pd6 0.512 0.000 0.498
Pd7 0.843 0.500 0.171
Pd8 0.845 0.500 0.425
Pd9 0.935 0.500 0.801
```

The 8 most intense peaks (2θ from 10° to 90°), most intense first:
Position (°2θ)  Rel. int.
37.6  100
37.7  49
41.0  38
42.4  34
42.2  29
52.2  24
27.3  22
41.1  19

---

7.
MnSnPd2: computed powder diffractogram (copper Kα), based on a DFT-relaxed cell (GGA-PBE, the Materials Project).
Peak positions follow from Bragg's law for the DFT cell and can differ from measured ones.

Cell and atoms:
```
data_MnSnPd2
_chemical_formula_sum 'Mn1 Sn1 Pd2'
_cell_length_a 3.343
_cell_length_b 3.343
_cell_length_c 6.069
_cell_angle_alpha 90.00
_cell_angle_beta 90.00
_cell_angle_gamma 90.00
_space_group_name_H-M_alt 'P 4/m m m'
_space_group_IT_number 123
_space_group_name_Hall '-P 4 2'
loop_
_atom_site_label
_atom_site_fract_x
_atom_site_fract_y
_atom_site_fract_z
Mn1 0.000 0.000 0.000
Sn1 0.000 0.000 0.500
Pd1 0.500 0.500 0.236
```

The 8 most intense peaks (2θ from 10° to 90°), most intense first:
Position (°2θ)  Rel. int.
40.1  100
38.1  59
70.2  38
54.9  20
74.3  15
86.7  10
30.5  9
61.1  7

---

8.
Mn2SnPd3: computed powder diffractogram (copper Kα), based on a DFT-relaxed cell (GGA-PBE, the Materials Project).
Peak positions follow from Bragg's law for the DFT cell and can differ from measured ones.

Cell and atoms:
```
data_Mn2SnPd3
_chemical_formula_sum 'Mn4 Sn2 Pd6'
_cell_length_a 4.4900
_cell_length_b 4.4900
_cell_length_c 11.1062
_cell_angle_alpha 90.00
_cell_angle_beta 90.00
_cell_angle_gamma 120.00
_space_group_name_H-M_alt 'P -3 m 1'
_space_group_IT_number 164
_space_group_name_Hall '-P 3 2"'
loop_
_atom_site_label
_atom_site_fract_x
_atom_site_fract_y
_atom_site_fract_z
Mn1 0.0000 0.0000 0.0000
Mn2 0.0000 0.0000 0.5000
Mn3 0.3333 0.6667 0.1614
Sn1 0.3333 0.6667 0.6685
Pd1 0.0000 0.0000 0.2449
Pd2 0.3333 0.6667 0.4164
Pd3 0.3333 0.6667 0.9220
```

The 8 most intense peaks (2θ from 10° to 90°), most intense first:
Position (°2θ)  Rel. int.
39.9  100
40.2  98
57.9  33
72.8  33
73.0  17
72.3  16
86.8  11
86.1  10

---

Number 1 is which compound?
Mn7Pd9